Computed X-ray diffraction stick pattern of GaPt2Se4 for Cu Kα X-rays, from a cell relaxed with PBE.

Structure:
a = 4.855 Å, b = 4.855 Å, c = 15.163 Å
α = 90.00°, β = 90.00°, γ = 90.00°
Fractional coordinates of all 14 atoms:
Ga (0.000, 0.000, 0.000)
Ga (0.500, 0.500, 0.500)
Pt (0.000, 0.000, 0.412)
Pt (0.000, 0.000, 0.588)
Pt (0.500, 0.500, 0.088)
Pt (0.500, 0.500, 0.912)
Se (0.000, 0.000, 0.259)
Se (0.000, 0.000, 0.741)
Se (0.000, 0.500, 0.000)
Se (0.000, 0.500, 0.500)
Se (0.500, 0.000, 0.000)
Se (0.500, 0.000, 0.500)
Se (0.500, 0.500, 0.241)
Se (0.500, 0.500, 0.759)

Peak list (6 most intense, 15° ≤ 2θ ≤ 90°, low angle first)
- 19.2°, 4.624 Å, I = 100
- 26.0°, 3.433 Å, I = 75
- 34.9°, 2.572 Å, I = 50
- 37.0°, 2.428 Å, I = 86
- 44.5°, 2.035 Å, I = 64
- 60.3°, 1.534 Å, I = 39

Computed X-ray diffraction stick pattern of W21S8 for Cu Kα X-rays, from a cell relaxed with PBE.

Structure:
a = 11.981 Å, b = 11.981 Å, c = 11.981 Å
α = 90.96°, β = 90.96°, γ = 165.11°
Fractional coordinates of all 29 atoms:
W (0.000, 0.000, 0.000)
W (0.009, 0.277, 0.286)
W (0.076, 0.554, 0.630)
W (0.187, 0.202, 0.389)
W (0.200, 0.378, 0.578)
W (0.202, 0.813, 0.015)
W (0.277, 0.991, 0.268)
W (0.350, 0.438, 0.787)
W (0.378, 0.800, 0.179)
W (0.438, 0.650, 0.088)
W (0.446, 0.076, 0.522)
W (0.554, 0.924, 0.478)
W (0.562, 0.350, 0.912)
W (0.622, 0.200, 0.821)
W (0.650, 0.562, 0.213)
W (0.723, 0.009, 0.732)
W (0.798, 0.187, 0.985)
W (0.800, 0.622, 0.422)
W (0.813, 0.798, 0.611)
W (0.924, 0.446, 0.370)
W (0.991, 0.723, 0.714)
S (0.057, 0.137, 0.194)
S (0.137, 0.943, 0.080)
S (0.207, 0.622, 0.830)
S (0.378, 0.207, 0.585)
S (0.622, 0.793, 0.415)
S (0.793, 0.378, 0.170)
S (0.863, 0.057, 0.920)
S (0.943, 0.863, 0.806)

Peak list (6 most intense, 15° ≤ 2θ ≤ 90°, low angle first)
- 33.7°, 2.657 Å, I = 39
- 34.7°, 2.583 Å, I = 45
- 37.9°, 2.376 Å, I = 46
- 39.5°, 2.280 Å, I = 92
- 40.9°, 2.206 Å, I = 50
- 41.0°, 2.201 Å, I = 100

Computed X-ray diffraction stick pattern of Pr2Zn12Ag5 for Cu Kα X-rays, from a cell relaxed with PBE.

Structure:
a = 7.018 Å, b = 7.018 Å, c = 7.018 Å
α = 82.74°, β = 82.74°, γ = 82.74°
Fractional coordinates of all 19 atoms:
Pr (0.159, 0.159, 0.159)
Pr (0.841, 0.841, 0.841)
Zn (0.149, 0.149, 0.666)
Zn (0.149, 0.666, 0.149)
Zn (0.203, 0.500, 0.797)
Zn (0.203, 0.797, 0.500)
Zn (0.334, 0.851, 0.851)
Zn (0.500, 0.203, 0.797)
Zn (0.500, 0.797, 0.203)
Zn (0.666, 0.149, 0.149)
Zn (0.797, 0.203, 0.500)
Zn (0.797, 0.500, 0.203)
Zn (0.851, 0.334, 0.851)
Zn (0.851, 0.851, 0.334)
Ag (0.000, 0.500, 0.500)
Ag (0.398, 0.398, 0.398)
Ag (0.500, 0.000, 0.500)
Ag (0.500, 0.500, 0.000)
Ag (0.602, 0.602, 0.602)

Peak list (6 most intense, 15° ≤ 2θ ≤ 90°, low angle first)
- 33.5°, 2.678 Å, I = 43
- 38.8°, 2.319 Å, I = 89
- 39.1°, 2.306 Å, I = 100
- 39.8°, 2.267 Å, I = 67
- 40.0°, 2.253 Å, I = 32
- 43.8°, 2.065 Å, I = 56

Computed X-ray diffraction stick pattern of Ac2Al3Si for Cu Kα X-rays, from a cell relaxed with PBE.

Structure:
a = 4.415 Å, b = 4.688 Å, c = 7.638 Å
α = 90.00°, β = 90.00°, γ = 90.00°
Fractional coordinates of all 6 atoms:
Ac (0.000, 0.000, 0.000)
Ac (0.500, 0.000, 0.487)
Al (0.000, 0.500, 0.325)
Al (0.000, 0.500, 0.663)
Al (0.500, 0.500, 0.831)
Si (0.500, 0.500, 0.159)

Peak list (6 most intense, 15° ≤ 2θ ≤ 90°, low angle first)
- 18.9°, 4.688 Å, I = 22
- 23.3°, 3.821 Å, I = 56
- 30.2°, 2.962 Å, I = 100
- 40.9°, 2.206 Å, I = 27
- 45.4°, 1.997 Å, I = 35
- 51.7°, 1.769 Å, I = 23

Computed X-ray diffraction stick pattern of Pr3ZnNi2 for Cu Kα X-rays, from a cell relaxed with PBE.

Structure:
a = 8.429 Å, b = 8.429 Å, c = 9.205 Å
α = 90.00°, β = 90.00°, γ = 114.97°
Fractional coordinates of all 24 atoms:
Pr (0.091, 0.337, 0.550)
Pr (0.163, 0.409, 0.950)
Pr (0.163, 0.837, 0.783)
Pr (0.337, 0.091, 0.450)
Pr (0.337, 0.663, 0.283)
Pr (0.409, 0.163, 0.050)
Pr (0.591, 0.837, 0.950)
Pr (0.663, 0.337, 0.717)
Pr (0.663, 0.909, 0.550)
Pr (0.837, 0.163, 0.217)
Pr (0.837, 0.591, 0.050)
Pr (0.909, 0.663, 0.450)
Zn (0.047, 0.953, 0.182)
Zn (0.453, 0.547, 0.682)
Zn (0.547, 0.453, 0.318)
Zn (0.953, 0.047, 0.818)
Ni (0.212, 0.788, 0.064)
Ni (0.216, 0.284, 0.250)
Ni (0.284, 0.216, 0.750)
Ni (0.288, 0.712, 0.564)
Ni (0.712, 0.288, 0.436)
Ni (0.716, 0.784, 0.250)
Ni (0.784, 0.716, 0.750)
Ni (0.788, 0.212, 0.936)

Peak list (6 most intense, 15° ≤ 2θ ≤ 90°, low angle first)
- 25.1°, 3.554 Å, I = 25
- 27.6°, 3.229 Å, I = 44
- 31.8°, 2.815 Å, I = 100
- 33.5°, 2.676 Å, I = 29
- 37.6°, 2.390 Å, I = 66
- 39.8°, 2.265 Å, I = 31

Computed X-ray diffraction stick pattern of Dy4TmTl2 for Cu Kα X-rays, from a cell relaxed with PBE.

Structure:
a = 9.302 Å, b = 9.302 Å, c = 9.302 Å
α = 34.19°, β = 34.19°, γ = 34.19°
Fractional coordinates of all 7 atoms:
Dy (0.131, 0.131, 0.131)
Dy (0.264, 0.264, 0.264)
Dy (0.736, 0.736, 0.736)
Dy (0.869, 0.869, 0.869)
Tm (0.500, 0.500, 0.500)
Tl (0.382, 0.382, 0.382)
Tl (0.618, 0.618, 0.618)

Peak list (6 most intense, 15° ≤ 2θ ≤ 90°, low angle first)
- 32.7°, 2.735 Å, I = 100
- 33.2°, 2.697 Å, I = 79
- 45.5°, 1.995 Å, I = 22
- 47.3°, 1.920 Å, I = 30
- 58.5°, 1.579 Å, I = 19
- 58.8°, 1.572 Å, I = 31

Computed X-ray diffraction stick pattern of Ca7CrN6 for Cu Kα X-rays, from a cell relaxed with PBE.

Structure:
a = 10.996 Å, b = 6.248 Å, c = 13.021 Å
α = 90.00°, β = 90.00°, γ = 90.00°
Fractional coordinates of all 56 atoms:
Ca (0.000, 0.058, 0.250)
Ca (0.000, 0.942, 0.750)
Ca (0.037, 0.232, 0.522)
Ca (0.037, 0.768, 0.022)
Ca (0.207, 0.389, 0.120)
Ca (0.207, 0.611, 0.620)
Ca (0.228, 0.352, 0.874)
Ca (0.228, 0.648, 0.374)
Ca (0.272, 0.148, 0.374)
Ca (0.272, 0.852, 0.874)
Ca (0.293, 0.111, 0.620)
Ca (0.293, 0.889, 0.120)
Ca (0.463, 0.268, 0.022)
Ca (0.463, 0.732, 0.522)
Ca (0.500, 0.442, 0.750)
Ca (0.500, 0.558, 0.250)
Ca (0.537, 0.268, 0.478)
Ca (0.537, 0.732, 0.978)
Ca (0.707, 0.111, 0.880)
Ca (0.707, 0.889, 0.380)
Ca (0.728, 0.148, 0.126)
Ca (0.728, 0.852, 0.626)
Ca (0.772, 0.352, 0.626)
Ca (0.772, 0.648, 0.126)
Ca (0.793, 0.389, 0.380)
Ca (0.793, 0.611, 0.880)
Ca (0.963, 0.232, 0.978)
Ca (0.963, 0.768, 0.478)
Cr (0.000, 0.436, 0.750)
Cr (0.000, 0.564, 0.250)
Cr (0.500, 0.064, 0.250)
Cr (0.500, 0.936, 0.750)
N (0.050, 0.395, 0.357)
N (0.050, 0.605, 0.857)
N (0.127, 0.263, 0.707)
N (0.127, 0.737, 0.207)
N (0.166, 0.090, 0.996)
N (0.166, 0.910, 0.496)
N (0.334, 0.410, 0.496)
N (0.334, 0.590, 0.996)
N (0.373, 0.237, 0.207)
N (0.373, 0.763, 0.707)
N (0.450, 0.105, 0.857)
N (0.450, 0.895, 0.357)
N (0.550, 0.105, 0.643)
N (0.550, 0.895, 0.143)
N (0.627, 0.237, 0.293)
N (0.627, 0.763, 0.793)
N (0.666, 0.410, 0.004)
N (0.666, 0.590, 0.504)
N (0.834, 0.090, 0.504)
N (0.834, 0.910, 0.004)
N (0.873, 0.263, 0.793)
N (0.873, 0.737, 0.293)
N (0.950, 0.395, 0.143)
N (0.950, 0.605, 0.643)

Peak list (6 most intense, 15° ≤ 2θ ≤ 90°, low angle first)
- 30.5°, 2.928 Å, I = 24
- 32.0°, 2.801 Å, I = 100
- 32.6°, 2.749 Å, I = 31
- 35.8°, 2.507 Å, I = 40
- 36.4°, 2.471 Å, I = 62
- 46.1°, 1.968 Å, I = 33

Computed X-ray diffraction stick pattern of Tb6DyHoTm2 for Cu Kα X-rays, from a cell relaxed with PBE.

Structure:
a = 8.727 Å, b = 8.727 Å, c = 9.491 Å
α = 93.85°, β = 93.85°, γ = 117.75°
Fractional coordinates of all 20 atoms:
Tb (0.017, 0.567, 0.184)
Tb (0.121, 0.754, 0.555)
Tb (0.246, 0.879, 0.945)
Tb (0.292, 0.506, 0.380)
Tb (0.433, 0.983, 0.316)
Tb (0.494, 0.708, 0.120)
Tb (0.506, 0.292, 0.880)
Tb (0.567, 0.017, 0.684)
Tb (0.708, 0.494, 0.620)
Tb (0.754, 0.121, 0.055)
Tb (0.879, 0.246, 0.445)
Tb (0.983, 0.433, 0.816)
Dy (0.025, 0.975, 0.250)
Dy (0.975, 0.025, 0.750)
Ho (0.409, 0.591, 0.750)
Ho (0.591, 0.409, 0.250)
Tm (0.198, 0.301, 0.045)
Tm (0.301, 0.198, 0.545)
Tm (0.699, 0.802, 0.455)
Tm (0.802, 0.699, 0.955)

Peak list (6 most intense, 15° ≤ 2θ ≤ 90°, low angle first)
- 28.8°, 3.098 Å, I = 39
- 30.9°, 2.896 Å, I = 100
- 31.6°, 2.834 Å, I = 42
- 31.7°, 2.824 Å, I = 62
- 31.9°, 2.809 Å, I = 36
- 34.2°, 2.624 Å, I = 44